The following is a theoretical X-ray diffraction stick pattern of NdDySn6. It was derived from DFT lattice parameters and positions (GGA-PBE), using Cu Kα.
Intensities are scaled so that the largest is 100.

Peak list (8 most intense, 2θ from 5° to 70°, by intensity)
Position (°2θ)	d (Å)	Rel. int.	h k l
32.68	2.740	100	1 1 2
37.91	2.373	50	2 0 0
54.70	1.678	36	2 2 0
65.23	1.430	28	3 1 2
65.11	1.433	14	1 1 6
68.48	1.370	12	2 2 4
18.69	4.747	1	0 0 2
26.56	3.356	1	1 1 0

Cell: 4.743 4.743 9.507 Å, 90.00 90.00 90.00°
Element x y z (fractional)
Nd: 0.000 0.000 0.000
Dy: 0.000 0.000 0.500
Sn: 0.000 0.500 0.255
Sn: 0.000 0.500 0.745
Sn: 0.500 0.000 0.255
Sn: 0.500 0.000 0.745
Sn: 0.500 0.500 0.000
Sn: 0.500 0.500 0.500